Entry 1:
Starting from a structure optimized by DFT (PBE), the XRD peak list of SmAl4Ni was simulated for λ = 1.5418 Å (Cu Kα).
Lines closer than 0.1° are merged.

Principal peaks in the range 2θ = 10–80°, sorted by position:
(hkl)	2θ (°)	d_spacing	I/Imax
0 2 1	17.55	5.053	66
1 1 0	22.41	3.967	44
0 0 2	26.98	3.304	42
1 3 1	30.85	2.899	88
1 1 2	35.35	2.539	100
1 5 0	36.06	2.491	47
0 6 1	37.00	2.430	54
2 0 0	44.18	2.050	62

Atomic structure:
Cell lengths 4.100, 15.676, 6.609 Å; angles 90.00, 90.00, 90.00 degrees
Space group Cmcm (No. 63)
Inequivalent atoms, fractional coordinates:
Sm  0.000  0.115  0.250
Al  0.000  0.078  0.750
Al  0.000  0.310  0.053
Al  0.000  0.500  0.000
Ni  0.000  0.225  0.750

=====

Entry 2:
Starting from a structure optimized by DFT (PBE), the XRD peak list of LaI3O9 was simulated for λ = 1.5418 Å (Cu Kα).
Lines closer than 0.1° are merged.

Principal peaks in the range 2θ = 10–80°, sorted by position:
(hkl)	2θ (°)	d_spacing	I/Imax
2 0 0	24.94	3.570	89
0 2 1	25.46	3.499	65
1 2 1	28.41	3.142	81
1 0 2	29.47	3.031	100
2 2 1	35.94	2.499	78
3 2 1	46.13	1.968	26
3 0 2	46.83	1.940	26
2 2 3	53.30	1.719	24

Atomic structure:
Cell lengths 7.140, 8.207, 6.696 Å; angles 90.00, 90.00, 90.00 degrees
Space group Pmmn (No. 59, origin choice 2)
Inequivalent atoms, fractional coordinates:
La  0.250  0.250  0.108
I  0.250  0.544  0.645
I  0.250  0.750  0.111
O  0.076  0.605  0.978
O  0.076  0.750  0.602
O  0.250  0.015  0.376
O  0.250  0.250  0.764

=====

Entry 3:
Starting from a structure optimized by DFT (PBE), the XRD peak list of Sr2ZrSnO6 was simulated for λ = 1.5418 Å (Cu Kα).
Lines closer than 0.1° are merged.

Principal peaks in the range 2θ = 10–80°, sorted by position:
(hkl)	2θ (°)	d_spacing	I/Imax
1 1 1	18.50	4.795	1
2 0 0	21.40	4.153	5
2 2 0	30.44	2.937	100
4 0 0	43.59	2.076	34
4 2 0	49.05	1.857	2
4 2 2	54.09	1.695	41
4 4 0	63.34	1.468	21
6 2 0	71.89	1.313	18

Atomic structure:
Cell lengths 8.306, 8.306, 8.306 Å; angles 90.00, 90.00, 90.00 degrees
Space group Fm-3m (No. 225)
Inequivalent atoms, fractional coordinates:
Sr  0.250  0.250  0.250
Zr  0.000  0.000  0.000
Sn  0.000  0.000  0.500
O  0.000  0.000  0.252

=====

Entry 4:
Starting from a structure optimized by DFT (PBE), the XRD peak list of Nd2Ir2O7 was simulated for λ = 1.5418 Å (Cu Kα).
Lines closer than 0.1° are merged.

Principal peaks in the range 2θ = 10–80°, sorted by position:
(hkl)	2θ (°)	d_spacing	I/Imax
1 1 1	14.66	6.044	3
2 2 2	29.56	3.022	100
4 0 0	34.26	2.617	37
4 4 0	49.23	1.851	45
6 2 2	58.48	1.578	44
4 4 4	61.35	1.511	11
8 0 0	72.19	1.309	7
6 6 2	79.88	1.201	18

Atomic structure:
Cell lengths 10.469, 10.469, 10.469 Å; angles 90.00, 90.00, 90.00 degrees
Space group Fd-3m (No. 227, origin choice 2)
Inequivalent atoms, fractional coordinates:
Nd  0.000  0.000  0.000
Ir  0.000  0.000  0.500
O  0.082  0.375  0.875
O  0.125  0.125  0.125